Record 1
Structure and calculated X-ray powder pattern of ScFeIr (a structure optimized by DFT (PBE); Cu Kα X-rays).

Cell and atoms:
Unit cell a=4.858 b=5.401 c=7.129 alpha=90.00 beta=90.00 gamma=90.00
Fractional positions:
Sc: 0.000 0.250 0.121
Sc: 0.000 0.750 0.879
Sc: 0.500 0.250 0.379
Sc: 0.500 0.750 0.621
Fe: 0.250 0.250 0.750
Fe: 0.250 0.750 0.250
Fe: 0.750 0.250 0.750
Fe: 0.750 0.750 0.250
Ir: 0.000 0.000 0.500
Ir: 0.000 0.500 0.500
Ir: 0.500 0.000 0.000
Ir: 0.500 0.500 0.000

Principal peaks in the range 2θ from 10° to 90°, by angle:
2θ/deg, I_rel
22.14, 100
24.98, 27
40.25, 88
41.97, 48
42.34, 37
45.17, 40
50.54, 20
54.82, 19
68.88, 18
74.85, 24

***

Record 2
Structure and calculated X-ray powder pattern of CaPdSe (a structure optimized by DFT (PBE); Cu Kα X-rays).

Cell and atoms:
Unit cell a=5.778 b=5.780 c=8.468 alpha=90.00 beta=109.88 gamma=90.00
Fractional positions:
Ca: 0.000 0.126 0.000
Ca: 0.000 0.874 0.500
Ca: 0.500 0.374 0.500
Ca: 0.500 0.626 0.000
Pd: 0.080 0.375 0.661
Pd: 0.080 0.625 0.161
Pd: 0.580 0.125 0.161
Pd: 0.580 0.875 0.661
Se: 0.425 0.126 0.849
Se: 0.425 0.874 0.349
Se: 0.925 0.374 0.349
Se: 0.925 0.626 0.849

Principal peaks in the range 2θ from 10° to 90°, by angle:
2θ/deg, I_rel
22.46, 93
32.98, 100
35.74, 64
44.34, 51
45.63, 48
46.45, 35
50.25, 24
58.20, 30
65.49, 27
74.37, 17

***

Record 3
Structure and calculated X-ray powder pattern of CoCu2SiS4 (a structure optimized by DFT (PBE); Cu Kα X-rays).

Cell and atoms:
Unit cell a=5.204 b=5.204 c=10.485 alpha=90.00 beta=90.00 gamma=90.00
Fractional positions:
Co: 0.000 0.000 0.000
Co: 0.500 0.500 0.500
Cu: 0.000 0.500 0.250
Cu: 0.000 0.500 0.750
Cu: 0.500 0.000 0.250
Cu: 0.500 0.000 0.750
Si: 0.000 0.000 0.500
Si: 0.500 0.500 0.000
S: 0.241 0.241 0.620
S: 0.241 0.759 0.380
S: 0.259 0.259 0.120
S: 0.259 0.741 0.880
S: 0.741 0.259 0.880
S: 0.741 0.741 0.120
S: 0.759 0.241 0.380
S: 0.759 0.759 0.620

Principal peaks in the range 2θ from 10° to 90°, by angle:
2θ/deg, I_rel
29.66, 100
34.47, 5
49.35, 41
49.54, 20
58.46, 13
58.81, 25
72.06, 3
72.68, 6
80.10, 10
80.40, 5

***

Record 4
Structure and calculated X-ray powder pattern of SrAg2Hg3 (a structure optimized by DFT (PBE); Cu Kα X-rays).

Cell and atoms:
Unit cell a=4.953 b=4.953 c=14.008 alpha=90.00 beta=90.00 gamma=120.00
Fractional positions:
Sr: 0.000 0.000 0.250
Sr: 0.000 0.000 0.750
Ag: 0.333 0.667 0.095
Ag: 0.333 0.667 0.405
Ag: 0.667 0.333 0.595
Ag: 0.667 0.333 0.905
Hg: 0.000 0.000 0.000
Hg: 0.000 0.000 0.500
Hg: 0.333 0.667 0.624
Hg: 0.333 0.667 0.876
Hg: 0.667 0.333 0.124
Hg: 0.667 0.333 0.376

Principal peaks in the range 2θ from 10° to 90°, by angle:
2θ/deg, I_rel
12.64, 19
21.67, 15
33.02, 100
36.28, 100
38.38, 15
49.86, 32
63.20, 31
65.26, 39
77.01, 11
86.38, 18

***

Record 5
Structure and calculated X-ray powder pattern of Ti10FeSb5 (a structure optimized by DFT (PBE); Cu Kα X-rays).

Cell and atoms:
Unit cell a=7.869 b=7.869 c=7.869 alpha=96.35 beta=96.35 gamma=141.16
Fractional positions:
Ti: 0.000 0.500 0.500
Ti: 0.044 0.187 0.708
Ti: 0.187 0.479 0.142
Ti: 0.337 0.044 0.858
Ti: 0.479 0.337 0.292
Ti: 0.500 0.000 0.500
Ti: 0.521 0.813 0.858
Ti: 0.663 0.521 0.708
Ti: 0.813 0.956 0.292
Ti: 0.956 0.663 0.142
Fe: 0.500 0.500 0.000
Sb: 0.000 0.000 0.000
Sb: 0.086 0.914 0.500
Sb: 0.414 0.586 0.500
Sb: 0.586 0.086 0.173
Sb: 0.914 0.414 0.827

Principal peaks in the range 2θ from 10° to 90°, by angle:
2θ/deg, I_rel
25.49, 63
26.86, 24
35.28, 22
38.40, 94
39.36, 100
49.16, 22
49.93, 25
50.77, 36
64.80, 21
74.61, 22

***

Record 6
Structure and calculated X-ray powder pattern of Pm2PrEr3 (a structure optimized by DFT (PBE); Cu Kα X-rays).

Cell and atoms:
Unit cell a=8.141 b=8.141 c=6.389 alpha=90.00 beta=90.00 gamma=108.41
Fractional positions:
Pm: 0.124 0.238 0.000
Pm: 0.238 0.124 0.500
Pm: 0.762 0.876 0.000
Pm: 0.876 0.762 0.500
Pr: 0.325 0.675 0.275
Pr: 0.675 0.325 0.775
Er: 0.015 0.622 0.952
Er: 0.378 0.985 0.952
Er: 0.417 0.583 0.751
Er: 0.583 0.417 0.251
Er: 0.622 0.015 0.452
Er: 0.985 0.378 0.452

Principal peaks in the range 2θ from 10° to 90°, by angle:
2θ/deg, I_rel
26.31, 32
28.93, 73
30.28, 50
30.48, 100
32.21, 20
33.79, 66
35.97, 52
37.67, 49
54.80, 24
56.72, 28

***

Record 7
Structure and calculated X-ray powder pattern of Ca3Sn5Br16 (a structure optimized by DFT (PBE); Cu Kα X-rays).

Cell and atoms:
Unit cell a=8.753 b=8.753 c=13.639 alpha=90.26 beta=90.26 gamma=59.62
Fractional positions:
Ca: 0.000 0.000 0.000
Ca: 0.168 0.667 0.497
Ca: 0.667 0.168 0.497
Sn: 0.000 0.502 0.998
Sn: 0.164 0.164 0.261
Sn: 0.499 0.499 0.758
Sn: 0.502 0.000 0.998
Sn: 0.670 0.670 0.498
Br: 0.156 0.674 0.885
Br: 0.160 0.160 0.882
Br: 0.312 0.858 0.129
Br: 0.321 0.321 0.132
Br: 0.336 0.807 0.629
Br: 0.347 0.347 0.622
Br: 0.497 0.497 0.383
Br: 0.514 0.997 0.382
Br: 0.671 0.671 0.875
Br: 0.674 0.156 0.885
Br: 0.807 0.336 0.629
Br: 0.839 0.839 0.117
Br: 0.839 0.839 0.612
Br: 0.858 0.312 0.129
Br: 0.994 0.994 0.385
Br: 0.997 0.514 0.382

Principal peaks in the range 2θ from 10° to 90°, by angle:
2θ/deg, I_rel
13.37, 35
13.42, 22
17.48, 18
26.81, 24
26.99, 100
30.78, 68
35.47, 23
40.78, 26
41.26, 51
41.51, 26

***

Record 8
Structure and calculated X-ray powder pattern of Mg2TiNbAu (a structure optimized by DFT (PBE); Cu Kα X-rays).

Cell and atoms:
Unit cell a=5.144 b=5.144 c=4.429 alpha=90.00 beta=90.00 gamma=90.00
Fractional positions:
Mg: 0.000 0.500 0.000
Mg: 0.500 0.000 0.000
Ti: 0.000 0.000 0.000
Nb: 0.000 0.000 0.500
Au: 0.500 0.500 0.500

Principal peaks in the range 2θ from 10° to 90°, by angle:
2θ/deg, I_rel
20.05, 32
24.47, 92
26.56, 40
31.84, 100
34.88, 68
40.56, 23
48.11, 30
50.16, 24
54.70, 37
60.64, 32

***

Record 9
Structure and calculated X-ray powder pattern of BaAc2Hg6 (a structure optimized by DFT (PBE); Cu Kα X-rays).

Cell and atoms:
Unit cell a=8.961 b=8.961 c=3.944 alpha=90.00 beta=90.00 gamma=120.00
Fractional positions:
Ba: 0.000 0.000 0.000
Ac: 0.333 0.667 0.000
Ac: 0.667 0.333 0.000
Hg: 0.000 0.335 0.500
Hg: 0.000 0.665 0.500
Hg: 0.335 0.000 0.500
Hg: 0.335 0.335 0.500
Hg: 0.665 0.000 0.500
Hg: 0.665 0.665 0.500

Principal peaks in the range 2θ from 10° to 90°, by angle:
2θ/deg, I_rel
30.19, 100
34.68, 80
41.76, 12
46.03, 12
46.63, 31
58.89, 36
59.39, 30
62.15, 15
80.71, 15
81.15, 13

***

Record 10
Structure and calculated X-ray powder pattern of Cs2CoAgBr6 (a structure optimized by DFT (PBE); Cu Kα X-rays).

Cell and atoms:
Unit cell a=7.623 b=7.623 c=6.972 alpha=90.00 beta=90.00 gamma=120.00
Fractional positions:
Cs: 0.333 0.667 0.218
Cs: 0.667 0.333 0.782
Co: 0.000 0.000 0.000
Ag: 0.000 0.000 0.500
Br: 0.152 0.303 0.797
Br: 0.152 0.848 0.797
Br: 0.303 0.152 0.203
Br: 0.697 0.848 0.797
Br: 0.848 0.152 0.203
Br: 0.848 0.697 0.203

Principal peaks in the range 2θ from 10° to 90°, by angle:
2θ/deg, I_rel
13.41, 29
18.51, 11
23.34, 19
25.55, 14
29.95, 100
37.53, 46
44.66, 16
47.73, 26
47.87, 16
57.38, 13

***

Record 11
Structure and calculated X-ray powder pattern of Pr2Al5Pt (a structure optimized by DFT (PBE); Cu Kα X-rays).

Cell and atoms:
Unit cell a=6.241 b=6.241 c=9.247 alpha=90.00 beta=90.00 gamma=90.00
Fractional positions:
Pr: 0.000 0.500 0.000
Pr: 0.000 0.500 0.500
Pr: 0.500 0.000 0.000
Pr: 0.500 0.000 0.500
Al: 0.000 0.000 0.030
Al: 0.218 0.218 0.248
Al: 0.218 0.782 0.248
Al: 0.282 0.282 0.748
Al: 0.282 0.718 0.748
Al: 0.500 0.500 0.530
Al: 0.718 0.282 0.748
Al: 0.718 0.718 0.748
Al: 0.782 0.218 0.248
Al: 0.782 0.782 0.248
Pt: 0.000 0.000 0.764
Pt: 0.500 0.500 0.264

Principal peaks in the range 2θ from 10° to 90°, by angle:
2θ/deg, I_rel
17.14, 44
27.95, 100
28.60, 37
33.54, 27
38.96, 18
40.90, 31
43.75, 14
49.04, 17
50.26, 37
57.76, 22

***

Record 12
Structure and calculated X-ray powder pattern of PrRhCl6 (a structure optimized by DFT (PBE); Cu Kα X-rays).

Cell and atoms:
Unit cell a=6.946 b=6.946 c=6.946 alpha=54.90 beta=54.90 gamma=54.90
Fractional positions:
Pr: 0.000 0.000 0.000
Rh: 0.500 0.500 0.500
Cl: 0.112 0.718 0.439
Cl: 0.282 0.561 0.888
Cl: 0.439 0.112 0.718
Cl: 0.561 0.888 0.282
Cl: 0.718 0.439 0.112
Cl: 0.888 0.282 0.561

Principal peaks in the range 2θ from 10° to 90°, by angle:
2θ/deg, I_rel
18.90, 100
25.81, 44
27.86, 12
31.82, 29
33.89, 21
38.34, 14
41.71, 48
44.42, 20
48.06, 18
49.29, 22

***

Record 13
Structure and calculated X-ray powder pattern of Ca2Np2Sb2P (a structure optimized by DFT (PBE); Cu Kα X-rays).

Cell and atoms:
Unit cell a=5.183 b=5.183 c=16.226 alpha=90.00 beta=90.00 gamma=90.00
Fractional positions:
Ca: 0.000 0.000 0.175
Ca: 0.000 0.000 0.825
Ca: 0.500 0.500 0.325
Ca: 0.500 0.500 0.675
Np: 0.000 0.500 0.000
Np: 0.000 0.500 0.500
Np: 0.500 0.000 0.000
Np: 0.500 0.000 0.500
Sb: 0.000 0.000 0.370
Sb: 0.000 0.000 0.630
Sb: 0.500 0.500 0.130
Sb: 0.500 0.500 0.870
P: 0.000 0.000 0.000
P: 0.500 0.500 0.500

Principal peaks in the range 2θ from 10° to 90°, by angle:
2θ/deg, I_rel
10.90, 100
26.69, 73
32.94, 84
33.12, 17
34.61, 51
36.40, 24
48.66, 23
49.76, 18
57.36, 18
60.97, 29

***

Record 14
Structure and calculated X-ray powder pattern of DyU2PdS6 (a structure optimized by DFT (PBE); Cu Kα X-rays).

Cell and atoms:
Unit cell a=5.929 b=5.929 c=6.783 alpha=90.00 beta=90.00 gamma=90.00
Fractional positions:
Dy: 0.000 0.000 0.000
U: 0.000 0.500 0.455
U: 0.500 0.000 0.455
Pd: 0.500 0.500 0.966
S: 0.000 0.000 0.607
S: 0.260 0.260 0.206
S: 0.260 0.740 0.206
S: 0.500 0.500 0.616
S: 0.740 0.260 0.206
S: 0.740 0.740 0.206

Principal peaks in the range 2θ from 10° to 90°, by angle:
2θ/deg, I_rel
13.05, 17
24.97, 100
26.28, 15
30.15, 29
40.41, 42
43.16, 22
45.58, 24
50.51, 31
64.57, 17
77.28, 14